No. 1
For NpPa4Se7, a structure optimized by DFT (PBE) gives the calculated XRD peak list in this record (CuKα).

Structural model:
Cell lengths 4.8608, 4.8608, 14.4017 Å; angles 90.00, 90.00, 120.00 degrees
Space group P-3m1 (No. 164)
Inequivalent atoms, fractional coordinates:
Np: 0.0000 0.0000 0.0000 x1
Pa: 0.3333 0.6667 0.1484 x2
Pa: 0.3333 0.6667 0.4216 x2
Se: 0.0000 0.0000 0.2130 x2
Se: 0.0000 0.0000 0.5000 x1
Se: 0.3333 0.6667 0.6342 x2
Se: 0.3333 0.6667 0.9326 x2

Principal peaks in the range 2θ = 5–70°, sorted by position:
2theta  intensity
12.29  20
22.00  38
28.19  17
32.73  100
36.99  90
43.41  24
50.21  30
55.52  13
63.97  30
66.65  16



No. 2
For AcPm2Sm2Dy2, a structure optimized by DFT (PBE) gives the calculated XRD peak list in this record (CuKα).

Structural model:
Cell lengths 11.5788, 5.1864, 8.1898 Å; angles 90.00, 98.23, 90.00 degrees
Space group C2/m (No. 12)
Inequivalent atoms, fractional coordinates:
Ac: 0.0000 0.0000 0.0000 x2
Pm: 0.2146 0.5000 0.1506 x4
Sm: 0.0741 0.5000 0.7079 x4
Dy: 0.1425 0.0000 0.4337 x4

Principal peaks in the range 2θ = 5–70°, sorted by position:
2theta  intensity
18.78  1
29.87  100
34.59  17
34.65  34
49.78  36
59.13  36
59.22  7
62.03  6
62.08  6



No. 3
For LiNd2Tc, a structure optimized by DFT (PBE) gives the calculated XRD peak list in this record (CuKα).

Structural model:
Cell lengths 3.5503, 3.5503, 8.2002 Å; angles 90.00, 90.00, 90.00 degrees
Space group P4/mmm (No. 123)
Inequivalent atoms, fractional coordinates:
Li: 0.0000 0.0000 0.0000 x1
Nd: 0.5000 0.5000 0.2939 x2
Tc: 0.0000 0.0000 0.5000 x1

Principal peaks in the range 2θ = 5–70°, sorted by position:
2theta  intensity
10.79  88
25.08  28
33.39  100
35.77  52
37.47  18
41.70  41
51.48  19
58.09  15
62.76  32
68.32  33



No. 4
For Pr3Nd3Ho2, a structure optimized by DFT (PBE) gives the calculated XRD peak list in this record (CuKα).

Structural model:
Cell lengths 5.9047, 14.7989, 6.3821 Å; angles 90.00, 90.08, 90.00 degrees
Space group P2_1/m (No. 11)
Inequivalent atoms, fractional coordinates:
Pr: 0.2500 0.0001 0.1685 x4
Pr: 0.2502 0.2500 0.1737 x2
Nd: 0.2502 0.1243 0.6677 x4
Nd: 0.2499 0.7500 0.1616 x2
Ho: 0.2499 0.6262 0.6644 x4

Principal peaks in the range 2θ = 5–70°, sorted by position:
2theta  intensity
27.90  28
30.27  30
31.81  100
31.90  20
41.62  16
49.42  16
54.75  22
58.92  9
59.06  18
59.88  13